1.
Structure and simulated powder diffraction line list of Li2Hf2CoGe2Ir (DFT lattice parameters and positions (GGA-PBE); Cu Kα, 1.54184 Å).
Lines closer than 0.1° are merged.

Largest 6 diffraction maxima, in order of falling intensity, 2θ from 10° to 90°:
41.6°, intensity 100.0, (1 1 2); 25.1°, intensity 63.6, (1 0 1); 41.8°, intensity 49.9, (2 0 0); 76.1°, intensity 33.5, (3 1 2); 49.4°, intensity 20.9, (2 1 1); 60.5°, intensity 16.6, (2 2 0)

Atomic structure:
a b c (Å): 4.327 4.327 6.175
angles (deg): 90.00 90.00 90.00
Space group P-4m2 (No. 115)
Inequivalent atoms, fractional coordinates:
Li 0.000 0.000 0.000 x1
Li 0.500 0.500 0.500 x1
Hf 0.000 0.500 0.740 x2
Co 0.000 0.000 0.500 x1
Ge 0.000 0.500 0.260 x2
Ir 0.500 0.500 0.000 x1

---

2.
Structure and simulated powder diffraction line list of HfCoGePd (DFT lattice parameters and positions (GGA-PBE); Cu Kα, 1.54184 Å).
Lines closer than 0.1° are merged.

Largest 6 diffraction maxima, in order of falling intensity, 2θ from 10° to 90°:
40.9°, intensity 100.0, (2 2 0); 74.4°, intensity 33.2, (4 2 2); 24.7°, intensity 17.0, (1 1 1); 59.2°, intensity 16.5, (4 0 0); 88.6°, intensity 10.8, (4 4 0); 48.3°, intensity 8.7, (3 1 1)

Atomic structure:
a b c (Å): 6.246 6.246 6.246
angles (deg): 90.00 90.00 90.00
Space group F-43m (No. 216)
Inequivalent atoms, fractional coordinates:
Hf 0.000 0.000 0.000 x4
Co 0.250 0.250 0.750 x4
Ge 0.000 0.000 0.500 x4
Pd 0.250 0.250 0.250 x4

---

3.
Structure and simulated powder diffraction line list of Hf2ZrCo4Ge4 (DFT lattice parameters and positions (GGA-PBE); Cu Kα, 1.54184 Å).
Lines closer than 0.1° are merged.

Largest 6 diffraction maxima, in order of falling intensity, 2θ from 10° to 90°:
36.5°, intensity 100.0, (1 2 1); 38.9°, intensity 99.4, (1 1 4); 47.4°, intensity 35.0, (2 0 0); 37.4°, intensity 28.3, (0 1 5); 46.2°, intensity 26.4, (0 3 3); 41.7°, intensity 24.5, (1 2 3)

Atomic structure:
a b c (Å): 3.833 6.622 12.914
angles (deg): 90.00 90.00 90.00
Space group Immm (No. 71)
Inequivalent atoms, fractional coordinates:
Hf 0.000 0.000 0.129 x4
Zr 0.000 0.500 0.000 x2
Co 0.000 0.201 0.323 x8
Ge 0.000 0.302 0.500 x4
Ge 0.000 0.500 0.215 x4